Structure and theoretical X-ray powder pattern of Mg14FeBO16 (the PBE+U geometry in the Materials Project; Cu Kα, 1.54184 Å).
Lines closer than 0.1° are merged.

Structure:
```
Mg14FeBO16
1.0
8.5546 0.0000 0.0000
0.0000 8.5546 0.0000
0.0000 0.0000 4.2186
Mg Fe B O
14 1 1 16
direct
0.0000 0.2467 0.0000 Mg
0.0000 0.5000 0.5000 Mg
0.0000 0.7533 0.0000 Mg
0.2457 0.2457 0.5000 Mg
0.2457 0.7543 0.5000 Mg
0.2467 0.0000 0.0000 Mg
0.2475 0.5000 0.0000 Mg
0.5000 0.0000 0.5000 Mg
0.5000 0.2475 0.0000 Mg
0.5000 0.7525 0.0000 Mg
0.7533 0.0000 0.0000 Mg
0.7525 0.5000 0.0000 Mg
0.7543 0.2457 0.5000 Mg
0.7543 0.7543 0.5000 Mg
0.5000 0.5000 0.5000 Fe
0.0000 0.0000 0.5000 B
0.0000 0.0000 0.0000 O
0.0000 0.2563 0.5000 O
0.0000 0.5000 0.0000 O
0.0000 0.7437 0.5000 O
0.2492 0.2492 0.0000 O
0.2492 0.7508 0.0000 O
0.2502 0.5000 0.5000 O
0.2563 0.0000 0.5000 O
0.5000 0.0000 0.0000 O
0.5000 0.2502 0.5000 O
0.5000 0.5000 0.0000 O
0.5000 0.7498 0.5000 O
0.7437 0.0000 0.5000 O
0.7498 0.5000 0.5000 O
0.7508 0.2492 0.0000 O
0.7508 0.7508 0.0000 O
```

The 6 most intense peaks (2θ from 10° to 90°), in order of rising 2θ:
| h k l | d (Å) | Rel. int. |
| --- | --- | --- |
| 2 2 1 | 2.458 | 18 |
| 4 0 0 | 2.139 | 100 |
| 0 0 2 | 2.109 | 48 |
| 4 4 0 | 1.512 | 28 |
| 4 0 2 | 1.502 | 55 |
| 4 4 2 | 1.229 | 25 |

=====

Structure and theoretical X-ray powder pattern of MgFe2BO5 (the PBE+U geometry in the Materials Project; Cu Kα, 1.54184 Å).
Lines closer than 0.1° are merged.

Structure:
```
MgFe2BO5
1.0
9.4555 0.0000 0.0000
0.0000 12.4786 0.0000
0.0000 0.0000 3.0841
Mg Fe B O
4 8 4 20
direct
0.9998 0.2226 0.0000 Mg
0.0002 0.7774 0.0000 Mg
0.4998 0.2774 0.0000 Mg
0.5002 0.7226 0.0000 Mg
0.0000 0.0000 0.5000 Fe
0.0000 0.5000 0.0000 Fe
0.2433 0.3869 0.5000 Fe
0.2567 0.8869 0.5000 Fe
0.5000 0.0000 0.0000 Fe
0.5000 0.5000 0.5000 Fe
0.7433 0.1131 0.5000 Fe
0.7567 0.6131 0.5000 Fe
0.2316 0.6412 0.5000 B
0.2684 0.1412 0.5000 B
0.7316 0.8588 0.5000 B
0.7684 0.3588 0.5000 B
0.1108 0.3579 0.0000 O
0.1160 0.9176 0.0000 O
0.1219 0.1463 0.5000 O
0.1517 0.7355 0.5000 O
0.1606 0.5434 0.5000 O
0.3394 0.0434 0.5000 O
0.3483 0.2355 0.5000 O
0.3781 0.6463 0.5000 O
0.3840 0.4176 0.0000 O
0.3892 0.8579 0.0000 O
0.6108 0.1421 0.0000 O
0.6160 0.5824 0.0000 O
0.6219 0.3537 0.5000 O
0.6517 0.7645 0.5000 O
0.6606 0.9566 0.5000 O
0.8394 0.4566 0.5000 O
0.8483 0.2645 0.5000 O
0.8781 0.8537 0.5000 O
0.8840 0.0824 0.0000 O
0.8892 0.6421 0.0000 O
```

The 6 most intense peaks (2θ from 10° to 90°), in order of rising 2θ:
| h k l | d (Å) | Rel. int. |
| --- | --- | --- |
| 0 2 0 | 6.239 | 42 |
| 1 2 0 | 5.208 | 81 |
| 2 4 0 | 2.604 | 100 |
| 2 0 1 | 2.583 | 69 |
| 3 1 1 | 2.171 | 39 |
| 3 2 1 | 2.078 | 47 |

=====

Structure and theoretical X-ray powder pattern of MnFeBO4 (the PBE+U geometry in the Materials Project; Cu Kα, 1.54184 Å).
Lines closer than 0.1° are merged.

Structure:
```
MnFeBO4
1.0
9.5083 0.0000 0.0000
0.0000 3.2248 0.0000
-0.0969 0.0000 9.5362
Mn Fe B O
4 4 4 16
direct
0.0000 0.0000 0.0000 Mn
0.2001 0.5000 0.6150 Mn
0.5003 0.0000 0.1230 Mn
0.7077 0.5000 0.4968 Mn
0.2152 0.5000 0.2451 Fe
0.4847 0.0000 0.7411 Fe
0.7188 0.5000 0.8791 Fe
0.9808 0.0000 0.3731 Fe
0.2663 0.5000 0.9366 B
0.4349 0.0000 0.4349 B
0.7734 0.5000 0.1838 B
0.9365 0.0000 0.6854 B
0.0792 0.0000 0.6843 O
0.0971 0.0000 0.1875 O
0.1130 0.5000 0.4209 O
0.1236 0.5000 0.9351 O
0.3402 0.5000 0.0630 O
0.3408 0.5000 0.8076 O
0.3572 0.0000 0.3086 O
0.3625 0.0000 0.5634 O
0.5770 0.0000 0.4339 O
0.5976 0.0000 0.9207 O
0.6072 0.5000 0.6960 O
0.6317 0.5000 0.1734 O
0.8433 0.5000 0.3118 O
0.8497 0.5000 0.0567 O
0.8581 0.0000 0.5622 O
0.8667 0.0000 0.8173 O
```

The 6 most intense peaks (2θ from 10° to 90°), in order of rising 2θ:
| h k l | d (Å) | Rel. int. |
| --- | --- | --- |
| 1 0 -2 | 4.279 | 21 |
| 1 0 2 | 4.244 | 20 |
| 2 1 0 | 2.669 | 100 |
| 2 0 -3 | 2.654 | 32 |
| 2 0 3 | 2.629 | 30 |
| 0 2 0 | 1.612 | 21 |

=====

Structure and theoretical X-ray powder pattern of MnFeBO4 (the PBE+U geometry in the Materials Project; Cu Kα, 1.54184 Å).
Lines closer than 0.1° are merged.

Structure:
```
MnFeBO4
1.0
9.6741 0.0000 0.0000
0.0000 3.2066 0.0000
0.0000 0.0000 9.5825
Mn Fe B O
4 4 4 16
direct
0.1000 0.2500 0.1799 Mn
0.4000 0.7500 0.6799 Mn
0.6000 0.2500 0.3201 Mn
0.9000 0.7500 0.8201 Mn
0.1167 0.2500 0.5629 Fe
0.3833 0.7500 0.0629 Fe
0.6167 0.2500 0.9371 Fe
0.8833 0.7500 0.4371 Fe
0.1716 0.2500 0.8671 B
0.3284 0.7500 0.3671 B
0.6716 0.2500 0.6329 B
0.8284 0.7500 0.1329 B
0.0021 0.2500 0.3873 O
0.0317 0.2500 0.8738 O
0.2401 0.2500 0.7387 O
0.2494 0.2500 0.9921 O
0.2506 0.7500 0.4921 O
0.2599 0.7500 0.2387 O
0.4683 0.7500 0.3738 O
0.4979 0.7500 0.8873 O
0.5021 0.2500 0.1127 O
0.5317 0.2500 0.6262 O
0.7401 0.2500 0.7613 O
0.7494 0.2500 0.5079 O
0.7506 0.7500 0.0079 O
0.7599 0.7500 0.2613 O
0.9683 0.7500 0.1262 O
0.9979 0.7500 0.6127 O
```

The 6 most intense peaks (2θ from 10° to 90°), in order of rising 2θ:
| h k l | d (Å) | Rel. int. |
| --- | --- | --- |
| 1 0 2 | 4.294 | 30 |
| 1 0 3 | 3.033 | 31 |
| 2 1 0 | 2.673 | 100 |
| 2 0 3 | 2.665 | 26 |
| 3 1 3 | 1.852 | 26 |
| 4 1 3 | 1.653 | 20 |

=====

Structure and theoretical X-ray powder pattern of FeBP2NO9 (the PBE+U geometry in the Materials Project; Cu Kα, 1.54184 Å).
Lines closer than 0.1° are merged.

Structure:
```
FeBP2NO9
1.0
9.5688 0.0000 0.0000
0.0000 8.4200 0.0000
-2.0570 0.0000 9.4814
Fe B P N O
4 4 8 4 36
direct
0.2130 0.1490 0.4338 Fe
0.2130 0.3510 0.9338 Fe
0.7870 0.6490 0.0662 Fe
0.7870 0.8510 0.5662 Fe
0.3364 0.5578 0.1942 B
0.3364 0.9422 0.6942 B
0.6636 0.0578 0.3058 B
0.6636 0.4422 0.8058 B
0.0752 0.0643 0.7052 P
0.0752 0.4357 0.2052 P
0.4238 0.2424 0.2181 P
0.4238 0.2576 0.7181 P
0.5762 0.7424 0.2819 P
0.5762 0.7576 0.7819 P
0.9248 0.5643 0.7948 P
0.9248 0.9357 0.2948 P
0.1918 0.6027 0.5559 N
0.1918 0.8973 0.0559 N
0.8082 0.1027 0.9441 N
0.8082 0.3973 0.4441 N
0.0735 0.0082 0.3104 O
0.0735 0.4918 0.8104 O
0.0915 0.1657 0.5784 O
0.0915 0.3343 0.0784 O
0.1092 0.1591 0.8440 O
0.1092 0.3409 0.3440 O
0.1891 0.5780 0.2205 O
0.1891 0.9220 0.7205 O
0.3060 0.5462 0.0412 O
0.3060 0.9538 0.5412 O
0.3426 0.1339 0.3007 O
0.3426 0.3661 0.8007 O
0.3661 0.2222 0.0587 O
0.3661 0.2778 0.5587 O
0.4134 0.0805 0.7640 O
0.4134 0.4195 0.2640 O
0.4135 0.7033 0.2456 O
0.4135 0.7967 0.7456 O
0.5865 0.2033 0.2544 O
0.5865 0.2967 0.7544 O
0.5866 0.5805 0.7360 O
0.5866 0.9195 0.2360 O
0.6339 0.7222 0.4413 O
0.6339 0.7778 0.9413 O
0.6574 0.6339 0.1993 O
0.6574 0.8661 0.6993 O
0.6940 0.0462 0.4588 O
0.6940 0.4538 0.9588 O
0.8109 0.0780 0.2795 O
0.8109 0.4220 0.7795 O
0.8908 0.6591 0.6560 O
0.8908 0.8409 0.1560 O
0.9085 0.6657 0.9216 O
0.9085 0.8343 0.4216 O
0.9265 0.5082 0.1896 O
0.9265 0.9918 0.6896 O
```

The 6 most intense peaks (2θ from 10° to 90°), in order of rising 2θ:
| h k l | d (Å) | Rel. int. |
| --- | --- | --- |
| 1 1 0 | 6.271 | 100 |
| 1 1 -1 | 5.601 | 10 |
| 1 2 0 | 3.840 | 12 |
| 2 0 -2 | 3.750 | 20 |
| 1 2 1 | 3.455 | 19 |
| 2 2 1 | 2.851 | 22 |

=====

Structure and theoretical X-ray powder pattern of Na3FeB2O6 (the PBE+U geometry in the Materials Project; Cu Kα, 1.54184 Å).
Lines closer than 0.1° are merged.

Structure:
```
Na3FeB2O6
1.0
5.5517 0.0000 0.0000
0.0000 9.5717 0.0000
-4.8332 0.0000 10.4637
Na Fe B O
12 4 8 24
direct
0.0009 0.0321 0.1553 Na
0.0009 0.4679 0.6553 Na
0.0398 0.6604 0.8751 Na
0.0398 0.8396 0.3751 Na
0.4244 0.0113 0.6123 Na
0.4244 0.4887 0.1123 Na
0.5756 0.5113 0.8877 Na
0.5756 0.9887 0.3877 Na
0.9602 0.1604 0.6249 Na
0.9602 0.3396 0.1249 Na
0.9991 0.5321 0.3447 Na
0.9991 0.9679 0.8447 Na
0.4800 0.6790 0.6252 Fe
0.4800 0.8210 0.1252 Fe
0.5200 0.1790 0.8748 Fe
0.5200 0.3210 0.3748 Fe
0.0510 0.1882 0.3820 B
0.0510 0.3118 0.8820 B
0.4774 0.1526 0.1324 B
0.4774 0.3474 0.6324 B
0.5226 0.6526 0.3676 B
0.5226 0.8474 0.8676 B
0.9490 0.6882 0.1180 B
0.9490 0.8118 0.6180 B
0.1455 0.1883 0.8497 O
0.1455 0.3117 0.3497 O
0.1741 0.6965 0.0922 O
0.1741 0.8035 0.5922 O
0.1750 0.0638 0.3866 O
0.1750 0.4362 0.8866 O
0.3668 0.6754 0.4332 O
0.3668 0.8246 0.9332 O
0.3884 0.2368 0.6821 O
0.3884 0.2632 0.1821 O
0.4105 0.0154 0.1525 O
0.4105 0.4846 0.6525 O
0.5895 0.5154 0.3475 O
0.5895 0.9846 0.8475 O
0.6116 0.7368 0.8179 O
0.6116 0.7632 0.3179 O
0.6332 0.1754 0.0668 O
0.6332 0.3246 0.5668 O
0.8250 0.5638 0.1134 O
0.8250 0.9362 0.6134 O
0.8259 0.1965 0.4078 O
0.8259 0.3035 0.9078 O
0.8545 0.6883 0.6503 O
0.8545 0.8117 0.1503 O
```

The 6 most intense peaks (2θ from 10° to 90°), in order of rising 2θ:
| h k l | d (Å) | Rel. int. |
| --- | --- | --- |
| 1 0 0 | 5.040 | 29 |
| 0 1 2 | 4.591 | 32 |
| 1 1 -2 | 4.264 | 36 |
| 1 3 -1 | 2.766 | 98 |
| 0 0 4 | 2.616 | 100 |
| 2 0 0 | 2.520 | 30 |